Entry 1:
K8Li3Cr4O16: theoretical powder X-ray diffraction pattern (Cu Ka), based on a DFT-relaxed cell (GGA+U, Alexandria).
Peak positions follow from Bragg's law for the DFT cell and can differ from measured ones.

The 10 most intense peaks (10° ≤ 2θ ≤ 90°), by angle:
2θ = 20.50°, 4.332 Å, rel. 34
2θ = 21.14°, 4.203 Å, rel. 26
2θ = 21.92°, 4.055 Å, rel. 49
2θ = 27.49°, 3.244 Å, rel. 49
2θ = 27.94°, 3.193 Å, rel. 33
2θ = 28.28°, 3.155 Å, rel. 53
2θ = 30.56°, 2.925 Å, rel. 46
2θ = 31.13°, 2.873 Å, rel. 100
2θ = 31.82°, 2.812 Å, rel. 24
2θ = 34.66°, 2.588 Å, rel. 39

Atomic structure:
a = 5.7512 Å, b = 8.1291 Å, c = 11.2210 Å
α = 94.00°, β = 92.56°, γ = 90.07°
Sites, in units of the cell vectors:
K 0.0000 0.0000 0.0000
K 0.0015 0.4933 0.8148
K 0.0168 0.2323 0.3643
K 0.0287 0.7102 0.4932
K 0.4798 0.8343 0.8066
K 0.5086 0.2746 0.9747
K 0.5266 0.0058 0.4869
K 0.5287 0.5110 0.2977
Li 0.4135 0.2339 0.7027
Li 0.5709 0.7239 0.0828
Li 0.9444 0.7936 0.2214
Cr 0.0589 0.5212 0.1077
Cr 0.4586 0.9932 0.2031
Cr 0.5584 0.4906 0.6008
Cr 0.9652 0.0345 0.7021
O 0.0210 0.0240 0.5524
O 0.0359 0.5547 0.2625
O 0.1607 0.1633 0.7868
O 0.1692 0.9693 0.2333
O 0.3488 0.5474 0.0762
O 0.3931 0.3406 0.5332
O 0.4839 0.9586 0.0484
O 0.4882 0.6738 0.5509
O 0.5171 0.4863 0.7483
O 0.5613 0.1757 0.2685
O 0.6247 0.8345 0.2625
O 0.6823 0.1005 0.7273
O 0.8336 0.4514 0.5734
O 0.8923 0.6802 0.0499
O 0.9607 0.3394 0.0402
O 0.9954 0.8364 0.7472

***

Entry 2:
K8Li9Cr4O16: theoretical powder X-ray diffraction pattern (Cu Ka), based on a DFT-relaxed cell (GGA+U, Alexandria).
Peak positions follow from Bragg's law for the DFT cell and can differ from measured ones.

The 10 most intense peaks (10° ≤ 2θ ≤ 90°), by angle:
2θ = 19.03°, 4.663 Å, rel. 83
2θ = 21.28°, 4.175 Å, rel. 79
2θ = 25.73°, 3.462 Å, rel. 47
2θ = 26.14°, 3.408 Å, rel. 79
2θ = 32.53°, 2.753 Å, rel. 47
2θ = 33.94°, 2.641 Å, rel. 42
2θ = 34.12°, 2.628 Å, rel. 46
2θ = 34.25°, 2.618 Å, rel. 93
2θ = 34.49°, 2.600 Å, rel. 100
2θ = 35.22°, 2.548 Å, rel. 60

Atomic structure:
a = 5.6212 Å, b = 9.3321 Å, c = 10.2960 Å
α = 88.99°, β = 81.92°, γ = 87.97°
Sites, in units of the cell vectors:
K 0.0000 0.0000 0.0000
K 0.0000 0.2300 0.5002
K 0.2785 0.2143 0.7987
K 0.3192 0.4367 0.2989
K 0.4807 0.7176 0.0084
K 0.5406 0.0466 0.5113
K 0.7490 0.4210 0.7899
K 0.8310 0.7157 0.2866
Li 0.0227 0.6806 0.8528
Li 0.0723 0.9782 0.3279
Li 0.2231 0.4757 0.9684
Li 0.2794 0.7760 0.4388
Li 0.3688 0.2462 0.0769
Li 0.5079 0.7403 0.6931
Li 0.5860 0.9709 0.8347
Li 0.7295 0.4771 0.4665
Li 0.9550 0.2106 0.2147
Cr 0.0038 0.9267 0.6861
Cr 0.3002 0.5118 0.6069
Cr 0.4903 0.0071 0.1966
Cr 0.8169 0.4368 0.1026
O 0.0180 0.5005 0.5520
O 0.0501 0.9243 0.5093
O 0.0524 0.2911 0.0341
O 0.2747 0.1441 0.2673
O 0.2909 0.9193 0.7500
O 0.2954 0.5580 0.7792
O 0.3464 0.8421 0.2571
O 0.4745 0.3464 0.5728
O 0.4884 0.6471 0.5141
O 0.4986 0.0311 0.0215
O 0.5155 0.4341 0.0396
O 0.7795 0.0194 0.2530
O 0.7949 0.8006 0.7737
O 0.8336 0.4002 0.2860
O 0.8462 0.0941 0.7341
O 0.9443 0.6153 0.0269